Entry 1:
This entry pairs a crystal structure of MgAl4 with its theoretical X-ray powder pattern. Radiation: Cu Kα (λ = 1.5418 Å). Structure: DFT lattice parameters and positions (PBE).
Kinematic intensities with the Lorentz-polarization factor, no thermal factor.

Most intense lines, 10° ≤ 2θ ≤ 90°, in order of rising 2θ:
2θ 37.17, rel. 100.0
2θ 38.34, rel. 93.2
2θ 43.76, rel. 31.6
2θ 43.94, rel. 61.2
2θ 62.29, rel. 10.0
2θ 63.75, rel. 40.2
2θ 75.56, rel. 22.5
2θ 76.04, rel. 11.7
2θ 76.77, rel. 11.9
2θ 77.76, rel. 21.9

Structural model:
```
data_MgAl4
_space_group_name_H-M_alt 'I m m m'
_space_group_IT_number 71
_space_group_name_Hall '-I 2 2'
_cell_length_a 2.8512
_cell_length_b 4.1371
_cell_length_c 14.9061
_cell_angle_alpha 90.00
_cell_angle_beta 90.00
_cell_angle_gamma 90.00
loop_
_atom_site_label
_atom_site_type_symbol
_atom_site_fract_x
_atom_site_fract_y
_atom_site_fract_z
Mg1 Mg 0.0000 0.0000 0.0000
Al1 Al 0.0000 0.0000 0.2009
Al2 Al 0.0000 0.0000 0.3932
```

Entry 2:
This entry pairs a crystal structure of AcScAu2O8 with its theoretical X-ray powder pattern. Radiation: Cu Kα (λ = 1.5418 Å). Structure: DFT lattice parameters and positions (PBE).
Kinematic intensities with the Lorentz-polarization factor, no thermal factor.

Most intense lines, 10° ≤ 2θ ≤ 90°, in order of rising 2θ:
2θ 18.01, rel. 14.7
2θ 28.35, rel. 100.0
2θ 32.03, rel. 41.1
2θ 34.45, rel. 21.8
2θ 45.92, rel. 17.4
2θ 47.75, rel. 27.4
2θ 54.85, rel. 41.7
2θ 58.04, rel. 16.4
2θ 58.65, rel. 16.3
2θ 77.00, rel. 14.6

Structural model:
```
data_AcScAu2O8
_space_group_name_H-M_alt 'I -4'
_space_group_IT_number 82
_cell_length_a 5.5892
_cell_length_b 5.5892
_cell_length_c 10.4132
_cell_angle_alpha 90.00
_cell_angle_beta 90.00
_cell_angle_gamma 90.00
loop_
_space_group_symop_operation_xyz
'x,y,z'
'y,-x,-z'
'-x,-y,z'
'-y,x,-z'
'x+1/2,y+1/2,z+1/2'
'y+1/2,-x+1/2,-z+1/2'
'-x+1/2,-y+1/2,z+1/2'
'-y+1/2,x+1/2,-z+1/2'
loop_
_atom_site_label
_atom_site_type_symbol
_atom_site_fract_x
_atom_site_fract_y
_atom_site_fract_z
Ac1 Ac 0.0000 0.0000 0.0000
Sc1 Sc 0.0000 0.5000 0.2500
Au1 Au 0.0000 0.0000 0.5000
Au2 Au 0.0000 0.5000 0.7500
O1 O 0.0688 0.3840 0.4524
O2 O 0.1676 0.8130 0.7830
```